[1]
The following is a theoretical X-ray diffraction stick pattern of Rb2PtI5O2. It was derived from the PBE geometry in Alexandria, using Cu Kα, 1.54184 Å.
Lines closer than 0.1° are merged.

Structural model:
abc: 8.6283 8.6283 11.5404
angles: 90.00 90.00 72.11
Positions (direct):
Rb 0.0315 0.5674 0.5000
Rb 0.4326 0.9685 0.5000
Rb 0.5674 0.0315 0.0000
Rb 0.9685 0.4326 0.0000
Pt 0.4898 0.5102 0.7356
Pt 0.5102 0.4898 0.2356
I 0.2202 0.7798 0.7342
I 0.2512 0.7488 0.2173
I 0.2953 0.3178 0.7369
I 0.3178 0.2953 0.2369
I 0.4986 0.5014 0.9842
I 0.5014 0.4986 0.4842
I 0.6822 0.7047 0.7369
I 0.7047 0.6822 0.2369
I 0.7488 0.2512 0.7173
I 0.7798 0.2202 0.2342
O 0.0845 0.7096 0.2981
O 0.2904 0.9155 0.2981
O 0.7096 0.0845 0.7981
O 0.9155 0.2904 0.7981

Top 8 peaks for 5 to 70 degrees two-theta, most intense first:
2θ (°)	intensity
10.8	100
26.6	49
15.4	31
31.0	30
27.1	23
25.5	22
35.3	19
12.7	16

***

[2]
The following is a theoretical X-ray diffraction stick pattern of Rb2PtI6O. It was derived from the PBE geometry in Alexandria, using Cu Kα, 1.54184 Å.
Lines closer than 0.1° are merged.

Structural model:
abc: 7.9160 7.9160 7.9160
angles: 113.89 113.89 100.96
Positions (direct):
Rb 0.2500 0.7500 0.5000
Rb 0.7500 0.2500 0.5000
Pt 0.0000 0.0000 0.0000
I 0.2192 0.2192 0.4384
I 0.2192 0.7808 0.0000
I 0.2867 0.2867 0.0000
I 0.7133 0.7133 0.0000
I 0.7808 0.2192 0.0000
I 0.7808 0.7808 0.5616
O 0.5000 0.5000 0.0000

Top 8 peaks for 5 to 70 degrees two-theta, most intense first:
2θ (°)	intensity
29.3	100
27.2	92
13.5	48
46.8	44
14.5	44
28.5	35
46.6	34
41.8	32

***

[3]
The following is a theoretical X-ray diffraction stick pattern of RbPtI2O8. It was derived from the PBE geometry in Alexandria, using Cu Kα, 1.54184 Å.
Lines closer than 0.1° are merged.

Structural model:
abc: 5.7262 5.7262 7.8000
angles: 90.00 90.00 120.00
Positions (direct):
Rb 0.0000 0.0000 0.0000
Pt 0.0000 0.0000 0.5000
I 0.3333 0.6667 0.6450
I 0.6667 0.3333 0.3550
O 0.0072 0.2882 0.6493
O 0.2810 0.9928 0.6493
O 0.2882 0.2810 0.3507
O 0.3333 0.6667 0.8743
O 0.6667 0.3333 0.1257
O 0.7118 0.7190 0.6493
O 0.7190 0.0072 0.3507
O 0.9928 0.7118 0.3507

Top 8 peaks for 5 to 70 degrees two-theta, most intense first:
2θ (°)	intensity
11.3	100
29.1	95
31.2	85
21.2	69
39.1	36
54.3	36
43.2	34
17.9	29

***

[4]
The following is a theoretical X-ray diffraction stick pattern of SbPtIO2. It was derived from the PBE geometry in Alexandria, using Cu Kα, 1.54184 Å.
Lines closer than 0.1° are merged.

Structural model:
abc: 3.9249 3.9249 6.7576
angles: 90.00 90.00 90.00
Positions (direct):
Sb 0.0000 0.0000 0.0000
Pt 0.5000 0.5000 0.5000
I 0.0000 0.0000 0.5000
O 0.0000 0.5000 0.0000
O 0.5000 0.0000 0.0000

Top 8 peaks for 5 to 70 degrees two-theta, most intense first:
2θ (°)	intensity
26.4	100
32.3	86
42.1	84
54.0	71
26.3	62
13.1	55
35.0	47
46.3	43